[1]
Calculated powder diffraction line list of LiVSiO4 for CuKα, from DFT lattice parameters and positions (GGA+U).
Peak positions follow from Bragg's law for the DFT cell and can differ from measured ones.

Crystal structure
```
data_LiVSiO4
_symmetry_space_group_name_H-M 'R 3'
_symmetry_Int_Tables_number 146
_symmetry_space_group_name_Hall 'R 3'
_cell_length_a 14.0203
_cell_length_b 14.0203
_cell_length_c 9.4204
_cell_angle_alpha 90.00
_cell_angle_beta 90.00
_cell_angle_gamma 120.00
loop_
_atom_site_label
_atom_site_fract_x
_atom_site_fract_y
_atom_site_fract_z
Li1 0.0155 0.8105 0.0000
Li2 0.1441 0.4547 0.1638
V1 0.0204 0.8026 0.3329
V2 0.1381 0.4557 0.4997
Si1 0.0146 0.8041 0.6672
Si2 0.1382 0.4556 0.8342
O1 0.0064 0.6823 0.6673
O2 0.0146 0.3442 0.8354
O3 0.0755 0.8705 0.5195
O4 0.0786 0.8746 0.8096
O5 0.1036 0.8904 0.1733
O6 0.2021 0.4625 0.6842
O7 0.2095 0.4555 0.9737
O8 0.2196 0.4460 0.3386
```

Largest 10 diffraction maxima, in order of falling intensity, 2θ from 10° to 90°:
| d/Å | I (rel.) | (hkl) |
| --- | --- | --- |
| 4.126 | 100 | 3 -1 1 |
| 2.866 | 96 | 2 -1 3 |
| 3.505 | 90 | 2 2 0 |
| 2.650 | 82 | 4 1 0 |
| 1.432 | 58 | 1 7 3 |
| 1.875 | 40 | 6 -3 3 |
| 7.010 | 36 | 1 1 0 |
| 4.391 | 33 | 0 1 2 |
| 4.047 | 29 | 3 0 0 |
| 2.338 | 26 | 4 -2 3 |



[2]
Calculated powder diffraction line list of PbWO4 for CuKα, from DFT lattice parameters and positions (GGA+U).
Peak positions follow from Bragg's law for the DFT cell and can differ from measured ones.

Crystal structure
```
data_PbWO4
_symmetry_space_group_name_H-M 'C m c e'
_symmetry_Int_Tables_number 64
_symmetry_space_group_name_Hall '-C 2ac 2'
_cell_length_a 8.047
_cell_length_b 14.235
_cell_length_c 5.543
_cell_angle_alpha 90.00
_cell_angle_beta 90.00
_cell_angle_gamma 90.00
loop_
_atom_site_label
_atom_site_fract_x
_atom_site_fract_y
_atom_site_fract_z
Pb1 0.250 0.162 0.250
W1 0.000 0.086 0.709
O1 0.000 0.089 0.047
O2 0.000 0.194 0.532
O3 0.142 0.000 0.500
O4 0.250 0.131 0.750
```

Largest 10 diffraction maxima, in order of falling intensity, 2θ from 10° to 90°:
| d/Å | I (rel.) | (hkl) |
| --- | --- | --- |
| 2.961 | 100 | 2 2 1 |
| 2.995 | 45 | 0 4 1 |
| 2.044 | 28 | 2 6 0 |
| 2.771 | 23 | 0 0 2 |
| 1.645 | 22 | 2 6 2 |
| 3.503 | 21 | 2 2 0 |
| 3.559 | 21 | 0 4 0 |
| 1.670 | 17 | 4 4 1 |
| 1.634 | 15 | 2 2 3 |
| 2.012 | 15 | 4 0 0 |